Starting from the PBE geometry in Alexandria, the X-ray powder pattern of Rb2GaF4 was simulated for λ = 1.5418 Å (Cu Kα).
Intensities are scaled so that the largest is 100.

Peak list (12 most intense, 2θ = 10–90°, low angle first)
two_theta  I/Imax
17.2  20
17.5  91
27.5  55
27.9  64
30.7  100
34.8  36
35.4  24
43.5  16
47.1  53
52.5  24
53.2  27
76.1  15

Structural model:
a b c (Å): 6.567 5.818 6.625
angles (deg): 63.31 52.34 64.35
Positions (direct):
Rb 0.000 0.000 0.500
Rb 0.500 0.500 0.000
Ga 0.252 0.252 0.748
F 0.044 0.439 0.561
F 0.219 0.575 0.781
F 0.439 0.044 0.956
F 0.575 0.219 0.425